Record 1
The following is a theoretical PXRD pattern of Ba2LaF8. It was derived from DFT lattice parameters and positions (PBE), using a wavelength of 1.5418 Å.
No peak broadening, texture or thermal motion is included.

Cell and atoms:
Cell lengths 10.6168, 10.6168, 4.1625 Å; angles 101.25, 101.25, 22.61 degrees
Fractional positions:
1 Ba 0.1657 0.1657 0.1654
2 Ba 0.8343 0.8343 0.8346
3 La 0.5000 0.5000 0.5000
4 F 0.0637 0.0637 0.5628
5 F 0.2500 0.2500 0.7495
6 F 0.3461 0.3461 0.3468
7 F 0.4363 0.4363 0.9369
8 F 0.5637 0.5637 0.0631
9 F 0.6539 0.6539 0.6532
10 F 0.7500 0.7500 0.2505
11 F 0.9363 0.9363 0.4372

Largest 10 diffraction maxima, low angle first, 15 to 90 degrees two-theta:
2θ/deg, Rel. int.
25.08, 100
26.20, 19
30.37, 24
40.53, 60
43.48, 27
45.56, 21
50.85, 30
63.16, 16
64.80, 15
77.81, 16

---

Record 2
The following is a theoretical PXRD pattern of BaLaF4. It was derived from DFT lattice parameters and positions (PBE), using a wavelength of 1.5418 Å.
No peak broadening, texture or thermal motion is included.

Cell and atoms:
Cell lengths 4.2113, 4.2113, 6.4313 Å; angles 90.00, 90.00, 90.00 degrees
Fractional positions:
1 Ba 0.0000 0.0000 0.0000
2 La 0.5000 0.5000 0.5000
3 F 0.0000 0.5000 0.2970
4 F 0.0000 0.5000 0.7030
5 F 0.5000 0.0000 0.2970
6 F 0.5000 0.0000 0.7030

Largest 10 diffraction maxima, low angle first, 15 to 90 degrees two-theta:
2θ/deg, Rel. int.
25.28, 100
27.74, 11
30.01, 16
41.32, 41
42.95, 20
47.60, 18
50.49, 30
51.91, 8
66.03, 19
77.60, 16

---

Record 3
The following is a theoretical PXRD pattern of BaLaN2F. It was derived from DFT lattice parameters and positions (PBE), using a wavelength of 1.5418 Å.
No peak broadening, texture or thermal motion is included.

Cell and atoms:
Cell lengths 4.5569, 4.5569, 4.7737 Å; angles 90.00, 90.00, 90.00 degrees
Fractional positions:
1 Ba 0.0000 0.0000 0.0000
2 La 0.5000 0.5000 0.5000
3 N 0.0000 0.5000 0.5000
4 N 0.5000 0.0000 0.5000
5 F 0.5000 0.5000 0.0000

Largest 10 diffraction maxima, low angle first, 15 to 90 degrees two-theta:
2θ/deg, Rel. int.
27.05, 100
27.68, 52
37.69, 17
39.55, 29
47.40, 24
48.58, 41
55.78, 20
75.86, 11
77.35, 12
78.25, 10

---

Record 4
The following is a theoretical PXRD pattern of Ba2LiMgF. It was derived from DFT lattice parameters and positions (PBE), using a wavelength of 1.5418 Å.
No peak broadening, texture or thermal motion is included.

Cell and atoms:
Cell lengths 5.9697, 5.9697, 4.3897 Å; angles 90.00, 90.00, 90.00 degrees
Fractional positions:
1 Ba 0.0000 0.5000 0.0000
2 Ba 0.5000 0.0000 0.0000
3 Li 0.0000 0.0000 0.5000
4 Mg 0.5000 0.5000 0.5000
5 F 0.0000 0.0000 0.0000

Largest 10 diffraction maxima, low angle first, 15 to 90 degrees two-theta:
2θ/deg, Rel. int.
20.23, 53
21.05, 67
29.35, 100
29.94, 63
36.40, 47
42.85, 23
46.64, 17
47.82, 21
51.70, 26
52.79, 39

---

Record 5
The following is a theoretical PXRD pattern of Ba2Li3NpF12. It was derived from DFT lattice parameters and positions (PBE), using a wavelength of 1.5418 Å.
No peak broadening, texture or thermal motion is included.

Cell and atoms:
Cell lengths 7.1788, 7.1788, 7.1788 Å; angles 57.44, 57.44, 57.44 degrees
Fractional positions:
1 Ba 0.0995 0.0995 0.0995
2 Ba 0.9005 0.9005 0.9005
3 Li 0.0000 0.5000 0.5000
4 Li 0.5000 0.0000 0.5000
5 Li 0.5000 0.5000 0.0000
6 Np 0.5000 0.5000 0.5000
7 F 0.1080 0.6430 0.6430
8 F 0.2407 0.2407 0.6387
9 F 0.2407 0.6387 0.2407
10 F 0.3570 0.3570 0.8920
11 F 0.3570 0.8920 0.3570
12 F 0.3613 0.7593 0.7593
13 F 0.6387 0.2407 0.2407
14 F 0.6430 0.1080 0.6430
15 F 0.6430 0.6430 0.1080
16 F 0.7593 0.3613 0.7593
17 F 0.7593 0.7593 0.3613
18 F 0.8920 0.3570 0.3570

Largest 10 diffraction maxima, low angle first, 15 to 90 degrees two-theta:
2θ/deg, Rel. int.
17.84, 100
25.83, 74
29.06, 54
29.91, 53
38.25, 25
39.26, 56
41.22, 36
47.59, 37
53.10, 25
61.67, 17

---

Record 6
The following is a theoretical PXRD pattern of BaLiPd2F8. It was derived from DFT lattice parameters and positions (PBE), using a wavelength of 1.5418 Å.
No peak broadening, texture or thermal motion is included.

Cell and atoms:
Cell lengths 6.7209, 6.7209, 6.7209 Å; angles 130.06, 130.06, 73.31 degrees
Fractional positions:
1 Ba 0.0000 0.0000 0.0000
2 Li 0.2500 0.7500 0.5000
3 Pd 0.5000 0.5000 0.0000
4 Pd 0.7500 0.2500 0.5000
5 F 0.1020 0.1983 0.5472
6 F 0.1881 0.6337 0.0875
7 F 0.3663 0.4538 0.5545
8 F 0.4452 0.8980 0.0963
9 F 0.5462 0.1007 0.9125
10 F 0.6511 0.5548 0.4528
11 F 0.8017 0.3489 0.9037
12 F 0.8993 0.8119 0.4455

Largest 10 diffraction maxima, low angle first, 15 to 90 degrees two-theta:
2θ/deg, Rel. int.
16.44, 10
17.66, 26
27.71, 100
31.53, 14
36.37, 12
45.20, 20
46.47, 42
53.85, 31
56.07, 13
74.75, 13

---

Record 7
The following is a theoretical PXRD pattern of BaLi2ReF8. It was derived from DFT lattice parameters and positions (PBE), using a wavelength of 1.5418 Å.
No peak broadening, texture or thermal motion is included.

Cell and atoms:
Cell lengths 8.2354, 8.2354, 8.2354 Å; angles 35.32, 35.32, 35.32 degrees
Fractional positions:
1 Ba 0.0000 0.0000 0.0000
2 Li 0.2430 0.2430 0.2430
3 Li 0.7570 0.7570 0.7570
4 Re 0.5000 0.5000 0.5000
5 F 0.1429 0.7721 0.4286
6 F 0.2279 0.5714 0.8571
7 F 0.3204 0.3204 0.3204
8 F 0.4286 0.1429 0.7721
9 F 0.5714 0.8571 0.2279
10 F 0.6796 0.6796 0.6796
11 F 0.7721 0.4286 0.1429
12 F 0.8571 0.2279 0.5714

Largest 10 diffraction maxima, low angle first, 15 to 90 degrees two-theta:
2θ/deg, Rel. int.
21.93, 100
23.06, 31
25.71, 80
35.94, 32
37.39, 25
43.14, 56
44.39, 18
44.72, 20
58.65, 17
60.66, 22

---

Copy entry 6 word for word.
The following is a theoretical PXRD pattern of BaLiPd2F8. It was derived from DFT lattice parameters and positions (PBE), using a wavelength of 1.5418 Å.
No peak broadening, texture or thermal motion is included.

Cell and atoms:
Cell lengths 6.7209, 6.7209, 6.7209 Å; angles 130.06, 130.06, 73.31 degrees
Fractional positions:
1 Ba 0.0000 0.0000 0.0000
2 Li 0.2500 0.7500 0.5000
3 Pd 0.5000 0.5000 0.0000
4 Pd 0.7500 0.2500 0.5000
5 F 0.1020 0.1983 0.5472
6 F 0.1881 0.6337 0.0875
7 F 0.3663 0.4538 0.5545
8 F 0.4452 0.8980 0.0963
9 F 0.5462 0.1007 0.9125
10 F 0.6511 0.5548 0.4528
11 F 0.8017 0.3489 0.9037
12 F 0.8993 0.8119 0.4455

Largest 10 diffraction maxima, low angle first, 15 to 90 degrees two-theta:
2θ/deg, Rel. int.
16.44, 10
17.66, 26
27.71, 100
31.53, 14
36.37, 12
45.20, 20
46.47, 42
53.85, 31
56.07, 13
74.75, 13

---

Which formula does entry 4 have?
Ba2LiMgF